Record 1
Sr2Si2Ni3Au: calculated X-ray powder pattern (copper Kα), based on a structure optimized by DFT (PBE).
Neutral-atom scattering factors, no anomalous dispersion.

Structure:
```
8
Lattice="4.118 0.000 0.000 -2.059 3.566 0.000 0.000 0.000 10.674" Properties=species:S:1:pos:R:3 pbc="T T T"
Sr 0.000 0.000 0.000
Sr 0.000 2.377 5.516
Si 2.059 1.189 2.416
Si 2.059 1.189 8.064
Ni 0.000 0.000 7.715
Ni 0.000 2.377 2.254
Ni 0.000 2.377 8.418
Au 0.000 0.000 3.341
```

The 12 most intense peaks (2θ = 5–70°), sorted by position:
- d 10.674, 8.28°, rel. 34
- d 5.337, 16.61°, rel. 30
- d 3.566, 24.97°, rel. 49
- d 3.382, 26.35°, rel. 23
- d 2.965, 30.14°, rel. 20
- d 2.669, 33.58°, rel. 17
- d 2.519, 35.64°, rel. 100
- d 2.136, 42.31°, rel. 13
- d 2.059, 43.98°, rel. 61
- d 1.630, 56.45°, rel. 22
- d 1.594, 57.86°, rel. 33
- d 1.402, 66.71°, rel. 17

Record 2
Ta2NiAu: calculated X-ray powder pattern (copper Kα), based on a structure optimized by DFT (PBE).
Neutral-atom scattering factors, no anomalous dispersion.

Structure:
```
4
Lattice="0.000 3.196 3.196 3.196 0.000 3.196 3.196 3.196 0.000" Properties=species:S:1:pos:R:3 pbc="T T T"
Ta 0.000 0.000 0.000
Ta 1.598 1.598 1.598
Ni 3.196 3.196 3.196
Au 4.795 4.795 4.795
```

The 8 most intense peaks (2θ = 5–70°), sorted by position:
- d 3.691, 24.11°, rel. 8
- d 3.196, 27.91°, rel. 6
- d 2.260, 39.89°, rel. 100
- d 1.928, 47.15°, rel. 4
- d 1.845, 49.38°, rel. 2
- d 1.598, 57.68°, rel. 17
- d 1.467, 63.42°, rel. 2
- d 1.429, 65.27°, rel. 2